[1]
For Hf4AlIn, the PBE geometry in Alexandria gives the computed PXRD pattern in this record (copper Kα).
Kinematic intensities with the Lorentz-polarization factor, no thermal factor.

```
Hf4AlIn
1.0
6.8926 0.0000 0.0000
0.0000 6.8926 0.0000
0.0000 0.0000 5.4169
Hf Al In
8 2 2
Cartesian
0.9763 2.3501 0.0000
0.9763 4.5425 2.7085
2.3501 0.9763 2.7085
2.3501 5.9163 0.0000
4.5425 0.9763 0.0000
4.5425 5.9163 2.7085
5.9163 2.3501 2.7085
5.9163 4.5425 0.0000
0.0000 0.0000 1.3542
0.0000 0.0000 4.0627
3.4463 3.4463 1.3542
3.4463 3.4463 4.0627
```

Principal peaks in the range 10° ≤ 2θ ≤ 80°, low angle first:
2.708 Å, 33.07°, I = 14
2.679 Å, 33.45°, I = 100
2.367 Å, 38.01°, I = 18
2.180 Å, 41.43°, I = 27
1.558 Å, 59.31°, I = 20
1.454 Å, 64.05°, I = 13
1.393 Å, 67.19°, I = 13
1.246 Å, 76.47°, I = 13

[2]
For Hf7Al5In, the PBE geometry in Alexandria gives the computed PXRD pattern in this record (copper Kα).
Kinematic intensities with the Lorentz-polarization factor, no thermal factor.

```
Hf7Al5In
1.0
-2.7554 4.7765 5.0395
2.7554 -4.7765 5.0395
2.7554 4.7765 -5.0395
Hf Al In
7 5 1
Cartesian
0.0000 0.0000 0.0000
2.7554 1.4838 1.2339
0.0000 0.0000 2.8374
0.0000 3.0906 1.1755
0.0000 6.4625 1.1755
0.0000 4.7765 3.5934
0.0000 3.2927 6.2734
1.3628 2.3911 -1.2871
1.3926 -2.3854 3.7523
2.7554 0.0000 3.7797
1.3628 7.1620 -1.2871
1.3926 2.3854 3.7523
0.0000 0.0000 6.7290
```

Principal peaks in the range 10° ≤ 2θ ≤ 80°, low angle first:
5.039 Å, 17.60°, I = 23
2.756 Å, 32.48°, I = 100
2.459 Å, 36.54°, I = 30
2.419 Å, 37.17°, I = 86
2.228 Å, 40.48°, I = 48
2.157 Å, 41.87°, I = 35
1.467 Å, 63.40°, I = 25
1.378 Å, 68.02°, I = 22

[3]
For Hf3Al2In, the PBE geometry in Alexandria gives the computed PXRD pattern in this record (copper Kα).
Kinematic intensities with the Lorentz-polarization factor, no thermal factor.

```
Hf3Al2In
1.0
2.5737 -7.7370 0.0000
2.5737 7.7370 0.0000
0.0000 0.0000 3.0220
Hf Al In
3 2 1
Cartesian
0.0000 0.0000 0.0000
2.5737 2.7612 0.0000
2.5737 -2.7612 0.0000
2.5737 5.2531 1.5110
2.5737 -5.2531 1.5110
2.5737 0.0000 1.5110
```

Principal peaks in the range 10° ≤ 2θ ≤ 80°, low angle first:
3.644 Å, 24.43°, I = 41
3.022 Å, 29.56°, I = 14
2.576 Å, 34.82°, I = 65
2.326 Å, 38.71°, I = 100
1.960 Å, 46.31°, I = 15
1.822 Å, 50.07°, I = 22
1.434 Å, 65.03°, I = 39
1.303 Å, 72.53°, I = 15